# SrPr4Hg4
Theoretical powder diffractogram, a wavelength of 1.5418 Å. Input: a structure optimized by DFT (GGA-PBE).
Neutral-atom scattering factors, no anomalous dispersion.

Structural model:
```
data_SrPr4Hg4
_cell_length_a 10.297
_cell_length_b 10.297
_cell_length_c 6.125
_cell_angle_alpha 90.00
_cell_angle_beta 90.00
_cell_angle_gamma 90.00
_space_group_name_H-M_alt 'P 1'
_space_group_IT_number 1
_space_group_name_Hall 'P 1'
loop_
_atom_site_label
_atom_site_type_symbol
_atom_site_fract_x
_atom_site_fract_y
_atom_site_fract_z
_atom_site_occupancy
Sr1 Sr 0.250 0.250 0.250 1
Sr2 Sr 0.750 0.750 0.750 1
Pr1 Pr 0.097 0.656 0.158 1
Pr2 Pr 0.156 0.903 0.658 1
Pr3 Pr 0.344 0.597 0.658 1
Pr4 Pr 0.403 0.844 0.158 1
Pr5 Pr 0.597 0.156 0.842 1
Pr6 Pr 0.656 0.403 0.342 1
Pr7 Pr 0.844 0.097 0.342 1
Pr8 Pr 0.903 0.344 0.842 1
Hg1 Hg 0.030 0.605 0.659 1
Hg2 Hg 0.105 0.970 0.159 1
Hg3 Hg 0.395 0.530 0.159 1
Hg4 Hg 0.470 0.895 0.659 1
Hg5 Hg 0.530 0.105 0.341 1
Hg6 Hg 0.605 0.470 0.841 1
Hg7 Hg 0.895 0.030 0.841 1
Hg8 Hg 0.970 0.395 0.341 1
```

Peak list (10 most intense, 2θ = 15–90°, by angle)
d/Å  intensity
5.149  30
3.256  100
2.936  49
2.588  49
2.550  23
2.313  33
2.303  24
2.285  39
2.089  31
1.489  17


# Li2CaZn6
Theoretical powder diffractogram, a wavelength of 1.5418 Å. Input: a structure optimized by DFT (GGA-PBE).
Neutral-atom scattering factors, no anomalous dispersion.

Structural model:
```
data_Li2CaZn6
_cell_length_a 7.781
_cell_length_b 7.781
_cell_length_c 7.781
_cell_angle_alpha 156.38
_cell_angle_beta 120.71
_cell_angle_gamma 64.73
_space_group_name_H-M_alt 'P 1'
_space_group_IT_number 1
_space_group_name_Hall 'P 1'
loop_
_atom_site_label
_atom_site_type_symbol
_atom_site_fract_x
_atom_site_fract_y
_atom_site_fract_z
_atom_site_occupancy
Li1 Li 0.145 0.145 0.000 1
Li2 Li 0.855 0.855 0.000 1
Ca1 Ca 0.500 0.000 0.500 1
Zn1 Zn 0.141 0.322 0.818 1
Zn2 Zn 0.163 0.500 0.663 1
Zn3 Zn 0.496 0.678 0.818 1
Zn4 Zn 0.504 0.322 0.182 1
Zn5 Zn 0.837 0.500 0.337 1
Zn6 Zn 0.859 0.678 0.182 1
```

Peak list (10 most intense, 2θ = 15–90°, by angle)
d/Å  intensity
3.849  41
3.808  39
3.096  58
2.686  61
2.412  46
2.214  100
2.191  68
2.028  37
1.912  42
1.293  32


# Nd2TeS2
Theoretical powder diffractogram, a wavelength of 1.5418 Å. Input: a structure optimized by DFT (GGA-PBE).
Neutral-atom scattering factors, no anomalous dispersion.

Structural model:
```
data_Nd2TeS2
_cell_length_a 4.658
_cell_length_b 4.658
_cell_length_c 7.771
_cell_angle_alpha 90.00
_cell_angle_beta 90.00
_cell_angle_gamma 120.00
_space_group_name_H-M_alt 'P 1'
_space_group_IT_number 1
_space_group_name_Hall 'P 1'
loop_
_atom_site_label
_atom_site_type_symbol
_atom_site_fract_x
_atom_site_fract_y
_atom_site_fract_z
_atom_site_occupancy
Nd1 Nd 0.333 0.667 0.268 1
Nd2 Nd 0.667 0.333 0.732 1
Te1 Te 0.000 0.000 0.000 1
S1 S 0.333 0.667 0.636 1
S2 S 0.667 0.333 0.364 1
```

Peak list (10 most intense, 2θ = 15–90°, by angle)
d/Å  intensity
3.581  100
2.799  56
2.329  53
2.180  28
1.952  19
1.790  15
1.732  14
1.496  16
1.492  12
1.419  14